Record 1
The following is a computed powder XRD pattern of GaBiTe. It was derived from a structure optimized by DFT (GGA-PBE), using Cu Ka.
Neutral-atom scattering factors, no anomalous dispersion.

Largest 10 diffraction maxima, sorted by position, 2θ = 10–80°:
13.2 deg, 6.703 Å, I = 32
23.6 deg, 3.773 Å, I = 76
25.9 deg, 3.443 Å, I = 100
26.6 deg, 3.351 Å, I = 26
29.2 deg, 3.055 Å, I = 39
33.5 deg, 2.675 Å, I = 27
34.1 deg, 2.627 Å, I = 23
40.6 deg, 2.223 Å, I = 40
42.8 deg, 2.115 Å, I = 23
49.4 deg, 1.845 Å, I = 22

Crystal structure
Cell lengths 6.999, 4.230, 7.874 Å; angles 90.00, 106.73, 90.00 degrees
Atoms (fractional coordinates):
Ga 0.000 0.000 0.000
Ga 0.457 0.500 0.018
Bi 0.270 0.500 0.654
Bi 0.957 0.000 0.640
Te 0.381 0.000 0.209
Te 0.861 0.500 0.148



Record 2
The following is a computed powder XRD pattern of Ti8Ga2Bi. It was derived from a structure optimized by DFT (GGA-PBE), using Cu Ka.
Neutral-atom scattering factors, no anomalous dispersion.

Largest 10 diffraction maxima, sorted by position, 2θ = 10–80°:
19.6 deg, 4.530 Å, I = 36
25.2 deg, 3.532 Å, I = 36
28.8 deg, 3.096 Å, I = 35
35.4 deg, 2.538 Å, I = 68
35.8 deg, 2.508 Å, I = 44
38.4 deg, 2.343 Å, I = 65
38.9 deg, 2.316 Å, I = 67
39.5 deg, 2.282 Å, I = 42
42.6 deg, 2.121 Å, I = 100
46.8 deg, 1.942 Å, I = 76

Crystal structure
Cell lengths 7.704, 7.704, 5.158 Å; angles 99.56, 99.56, 40.10 degrees
Atoms (fractional coordinates):
Ti 0.096 0.096 0.499
Ti 0.145 0.658 0.978
Ti 0.282 0.282 0.382
Ti 0.342 0.855 0.022
Ti 0.658 0.145 0.978
Ti 0.718 0.718 0.618
Ti 0.855 0.342 0.022
Ti 0.904 0.904 0.501
Ga 0.241 0.241 0.854
Ga 0.759 0.759 0.146
Bi 0.500 0.500 0.500



Record 3
The following is a computed powder XRD pattern of Tl2GaBi. It was derived from a structure optimized by DFT (GGA-PBE), using Cu Ka.
Neutral-atom scattering factors, no anomalous dispersion.

Largest 10 diffraction maxima, sorted by position, 2θ = 10–80°:
26.3 deg, 3.384 Å, I = 19
31.7 deg, 2.821 Å, I = 73
32.2 deg, 2.782 Å, I = 100
32.5 deg, 2.755 Å, I = 48
34.3 deg, 2.615 Å, I = 98
49.2 deg, 1.853 Å, I = 18
49.4 deg, 1.846 Å, I = 18
59.5 deg, 1.553 Å, I = 23
59.9 deg, 1.545 Å, I = 23
60.4 deg, 1.533 Å, I = 19

Crystal structure
Cell lengths 7.413, 7.383, 9.159 Å; angles 90.00, 112.49, 90.00 degrees
Atoms (fractional coordinates):
Tl 0.135 0.000 0.267
Tl 0.250 0.250 0.000
Tl 0.250 0.750 0.000
Tl 0.365 0.500 0.733
Tl 0.635 0.500 0.267
Tl 0.750 0.250 0.000
Tl 0.750 0.750 0.000
Tl 0.865 0.000 0.733
Ga 0.000 0.245 0.500
Ga 0.000 0.755 0.500
Ga 0.500 0.255 0.500
Ga 0.500 0.745 0.500
Bi 0.147 0.500 0.302
Bi 0.353 0.000 0.698
Bi 0.647 0.000 0.302
Bi 0.853 0.500 0.698



Record 4
The following is a computed powder XRD pattern of Tm4Ga2Bi. It was derived from a structure optimized by DFT (GGA-PBE), using Cu Ka.
Neutral-atom scattering factors, no anomalous dispersion.

Largest 10 diffraction maxima, sorted by position, 2θ = 10–80°:
19.1 deg, 4.658 Å, I = 54
27.1 deg, 3.292 Å, I = 53
30.4 deg, 2.944 Å, I = 100
30.4 deg, 2.936 Å, I = 78
36.1 deg, 2.490 Å, I = 89
36.1 deg, 2.485 Å, I = 36
38.7 deg, 2.329 Å, I = 31
45.7 deg, 1.986 Å, I = 33
50.0 deg, 1.825 Å, I = 36
59.5 deg, 1.553 Å, I = 21

Crystal structure
Cell lengths 8.045, 8.058, 8.061 Å; angles 109.38, 109.61, 109.31 degrees
Atoms (fractional coordinates):
Tm 0.128 0.428 0.200
Tm 0.228 0.928 0.800
Tm 0.300 0.072 0.372
Tm 0.300 0.428 0.728
Tm 0.700 0.572 0.272
Tm 0.700 0.928 0.628
Tm 0.772 0.072 0.200
Tm 0.872 0.572 0.800
Ga 0.000 0.000 0.000
Ga 0.000 0.000 0.500
Ga 0.000 0.500 0.500
Ga 0.500 0.500 0.500
Bi 0.375 0.750 0.125
Bi 0.625 0.250 0.875



Record 5
The following is a computed powder XRD pattern of Y12Ga6Bi. It was derived from a structure optimized by DFT (GGA-PBE), using Cu Ka.
Neutral-atom scattering factors, no anomalous dispersion.

Largest 10 diffraction maxima, sorted by position, 2θ = 10–80°:
17.5 deg, 5.076 Å, I = 14
27.8 deg, 3.211 Å, I = 15
30.5 deg, 2.931 Å, I = 39
33.0 deg, 2.713 Å, I = 100
35.4 deg, 2.538 Å, I = 19
37.6 deg, 2.393 Å, I = 14
45.6 deg, 1.991 Å, I = 30
52.6 deg, 1.741 Å, I = 20
55.8 deg, 1.647 Å, I = 28
64.9 deg, 1.436 Å, I = 19

Crystal structure
Cell lengths 8.792, 8.792, 8.792 Å; angles 109.47, 109.47, 109.47 degrees
Atoms (fractional coordinates):
Y 0.109 0.299 0.811
Y 0.189 0.488 0.299
Y 0.189 0.891 0.701
Y 0.299 0.189 0.488
Y 0.299 0.811 0.109
Y 0.488 0.299 0.189
Y 0.512 0.701 0.811
Y 0.701 0.189 0.891
Y 0.701 0.811 0.512
Y 0.811 0.109 0.299
Y 0.811 0.512 0.701
Y 0.891 0.701 0.189
Ga 0.122 0.500 0.622
Ga 0.378 0.878 0.500
Ga 0.500 0.378 0.878
Ga 0.500 0.622 0.122
Ga 0.622 0.122 0.500
Ga 0.878 0.500 0.378
Bi 0.000 0.000 0.000



Record 6
The following is a computed powder XRD pattern of Y10Ga3Bi3. It was derived from a structure optimized by DFT (GGA-PBE), using Cu Ka.
Neutral-atom scattering factors, no anomalous dispersion.

Largest 10 diffraction maxima, sorted by position, 2θ = 10–80°:
13.5 deg, 6.580 Å, I = 17
24.2 deg, 3.679 Å, I = 23
27.1 deg, 3.290 Å, I = 28
30.8 deg, 2.905 Å, I = 25
33.7 deg, 2.657 Å, I = 100
33.9 deg, 2.643 Å, I = 75
35.0 deg, 2.562 Å, I = 36
44.7 deg, 2.028 Å, I = 25
52.3 deg, 1.750 Å, I = 29
67.2 deg, 1.393 Å, I = 21

Crystal structure
Cell lengths 8.875, 8.875, 6.580 Å; angles 90.00, 90.00, 120.00 degrees
Atoms (fractional coordinates):
Y 0.000 0.239 0.000
Y 0.000 0.764 0.500
Y 0.236 0.236 0.500
Y 0.239 0.000 0.000
Y 0.333 0.667 0.237
Y 0.333 0.667 0.763
Y 0.667 0.333 0.237
Y 0.667 0.333 0.763
Y 0.761 0.761 0.000
Y 0.764 0.000 0.500
Ga 0.000 0.607 0.000
Ga 0.393 0.393 0.000
Ga 0.607 0.000 0.000
Bi 0.000 0.399 0.500
Bi 0.399 0.000 0.500
Bi 0.601 0.601 0.500



Record 7
The following is a computed powder XRD pattern of Zn2GaBi2. It was derived from a structure optimized by DFT (GGA-PBE), using Cu Ka.
Neutral-atom scattering factors, no anomalous dispersion.

Largest 10 diffraction maxima, sorted by position, 2θ = 10–80°:
23.0 deg, 3.875 Å, I = 83
28.0 deg, 3.189 Å, I = 100
31.7 deg, 2.825 Å, I = 42
33.7 deg, 2.662 Å, I = 40
36.1 deg, 2.486 Å, I = 91
39.1 deg, 2.302 Å, I = 91
45.4 deg, 1.998 Å, I = 53
54.2 deg, 1.693 Å, I = 33
59.3 deg, 1.557 Å, I = 44
66.4 deg, 1.408 Å, I = 31

Crystal structure
Cell lengths 3.996, 3.996, 15.875 Å; angles 90.00, 90.00, 90.00 degrees
Atoms (fractional coordinates):
Zn 0.000 0.500 0.250
Zn 0.000 0.500 0.750
Zn 0.500 0.000 0.250
Zn 0.500 0.000 0.750
Ga 0.000 0.000 0.000
Ga 0.500 0.500 0.500
Bi 0.000 0.000 0.383
Bi 0.000 0.000 0.617
Bi 0.500 0.500 0.117
Bi 0.500 0.500 0.883